(1)
RbLaAgCl5: calculated XRD peak list (Cu Kα, 1.54184 Å), based on a crystal structure in Alexandria, relaxed with PBE.
Intensities are scaled so that the largest is 100.

Largest 8 diffraction maxima, by angle, 2θ from 10° to 90°:
2θ/deg  intensity
18.61  100
20.95  69
22.93  61
23.36  67
30.85  27
38.20  39
39.36  29
40.43  32

Structural model:
a b c (Å): 7.858 7.858 10.519
angles (deg): 102.55 102.55 108.84
Fractional coordinates of all 16 atoms:
Rb (0.155, 0.845, 0.750)
Rb (0.845, 0.155, 0.250)
La (0.500, 0.500, 0.000)
La (0.500, 0.500, 0.500)
Ag (0.186, 0.814, 0.250)
Ag (0.814, 0.186, 0.750)
Cl (0.130, 0.243, 0.933)
Cl (0.192, 0.588, 0.397)
Cl (0.243, 0.130, 0.433)
Cl (0.412, 0.808, 0.103)
Cl (0.419, 0.581, 0.750)
Cl (0.581, 0.419, 0.250)
Cl (0.588, 0.192, 0.897)
Cl (0.757, 0.870, 0.567)
Cl (0.808, 0.412, 0.603)
Cl (0.870, 0.757, 0.067)

---

(2)
LiPu2Zn3N6: calculated XRD peak list (Cu Kα, 1.54184 Å), based on a crystal structure in Alexandria, relaxed with PBE.
Intensities are scaled so that the largest is 100.

Largest 8 diffraction maxima, by angle, 2θ from 10° to 90°:
2θ/deg  intensity
17.28  45
21.63  40
26.72  40
32.61  42
34.15  82
34.97  34
36.23  100
45.29  37

Structural model:
a b c (Å): 6.402 6.402 7.089
angles (deg): 102.27 102.27 31.51
Fractional coordinates of all 12 atoms:
Li (0.000, 0.000, 0.000)
Pu (0.339, 0.339, 0.682)
Pu (0.661, 0.661, 0.318)
Zn (0.000, 0.000, 0.500)
Zn (0.338, 0.338, 0.112)
Zn (0.662, 0.662, 0.888)
N (0.168, 0.168, 0.526)
N (0.174, 0.174, 0.110)
N (0.494, 0.494, 0.251)
N (0.506, 0.506, 0.749)
N (0.826, 0.826, 0.890)
N (0.832, 0.832, 0.474)

---

(3)
Na3HgP: calculated XRD peak list (Cu Kα, 1.54184 Å), based on a crystal structure in Alexandria, relaxed with PBE.
Intensities are scaled so that the largest is 100.

Largest 8 diffraction maxima, by angle, 2θ from 10° to 90°:
2θ/deg  intensity
15.37  100
20.04  47
25.36  74
29.92  43
31.03  29
34.58  33
40.29  34
40.70  33

Structural model:
a b c (Å): 7.270 7.270 7.270
angles (deg): 104.92 112.40 111.19
Fractional coordinates of all 10 atoms:
Na (0.192, 0.059, 0.251)
Na (0.192, 0.441, 0.633)
Na (0.588, 0.937, 0.151)
Na (0.786, 0.437, 0.849)
Na (0.808, 0.559, 0.367)
Na (0.808, 0.941, 0.749)
Hg (0.308, 0.075, 0.733)
Hg (0.342, 0.575, 0.267)
P (0.122, 0.775, 0.847)
P (0.927, 0.275, 0.153)

---

(4)
Ac6In6Pb: calculated XRD peak list (Cu Kα, 1.54184 Å), based on a crystal structure in Alexandria, relaxed with PBE.
Intensities are scaled so that the largest is 100.

Largest 8 diffraction maxima, by angle, 2θ from 10° to 90°:
2θ/deg  intensity
26.10  97
30.23  34
30.43  74
31.02  47
34.08  100
40.97  36
53.70  41
63.32  37

Structural model:
a b c (Å): 6.827 6.827 11.532
angles (deg): 90.00 90.00 120.00
Fractional coordinates of all 13 atoms:
Ac (0.000, 0.000, 0.200)
Ac (0.000, 0.000, 0.800)
Ac (0.333, 0.667, 0.000)
Ac (0.333, 0.667, 0.500)
Ac (0.667, 0.333, 0.000)
Ac (0.667, 0.333, 0.500)
In (0.000, 0.500, 0.249)
In (0.000, 0.500, 0.751)
In (0.500, 0.000, 0.249)
In (0.500, 0.000, 0.751)
In (0.500, 0.500, 0.249)
In (0.500, 0.500, 0.751)
Pb (0.000, 0.000, 0.500)

---

(5)
K2CdPt: calculated XRD peak list (Cu Kα, 1.54184 Å), based on a crystal structure in Alexandria, relaxed with PBE.
Intensities are scaled so that the largest is 100.

Largest 8 diffraction maxima, by angle, 2θ from 10° to 90°:
2θ/deg  intensity
14.79  76
19.32  100
27.20  55
28.67  38
34.60  76
35.59  46
36.11  28
51.61  31

Structural model:
a b c (Å): 4.974 4.680 6.484
angles (deg): 90.00 112.51 90.00
Fractional coordinates of all 4 atoms:
K (0.000, 0.000, 0.000)
K (0.291, 0.500, 0.582)
Cd (0.593, 0.500, 0.187)
Pt (0.707, 0.000, 0.412)

---

(6)
Ce3NdY4S8: calculated XRD peak list (Cu Kα, 1.54184 Å), based on a crystal structure in Alexandria, relaxed with PBE.
Intensities are scaled so that the largest is 100.

Largest 8 diffraction maxima, by angle, 2θ from 10° to 90°:
2θ/deg  intensity
27.24  15
27.54  44
31.82  100
45.42  36
45.82  35
56.86  18
75.32  15
75.90  15

Structural model:
a b c (Å): 7.987 7.987 7.987
angles (deg): 59.46 59.46 59.46
Fractional coordinates of all 16 atoms:
Ce (0.000, 0.500, 0.500)
Ce (0.500, 0.000, 0.500)
Ce (0.500, 0.500, 0.000)
Nd (0.000, 0.000, 0.000)
Y (0.000, 0.000, 0.500)
Y (0.000, 0.500, 0.000)
Y (0.500, 0.000, 0.000)
Y (0.500, 0.500, 0.500)
S (0.246, 0.246, 0.246)
S (0.248, 0.745, 0.745)
S (0.255, 0.255, 0.752)
S (0.255, 0.752, 0.255)
S (0.745, 0.248, 0.745)
S (0.745, 0.745, 0.248)
S (0.752, 0.255, 0.255)
S (0.754, 0.754, 0.754)

---

(7)
TbDyAg4: calculated XRD peak list (Cu Kα, 1.54184 Å), based on a crystal structure in Alexandria, relaxed with PBE.
Intensities are scaled so that the largest is 100.

Largest 8 diffraction maxima, by angle, 2θ from 10° to 90°:
2θ/deg  intensity
34.16  100
37.60  26
37.75  51
51.73  20
51.88  10
65.66  10
65.87  19
67.69  26

Structural model:
a b c (Å): 3.398 4.784 8.246
angles (deg): 90.00 90.00 90.00
Fractional coordinates of all 6 atoms:
Tb (0.000, 0.000, 0.000)
Dy (0.000, 0.500, 0.500)
Ag (0.500, 0.000, 0.333)
Ag (0.500, 0.000, 0.667)
Ag (0.500, 0.500, 0.167)
Ag (0.500, 0.500, 0.833)

---

(8)
Sc2ZnAs: calculated XRD peak list (Cu Kα, 1.54184 Å), based on a crystal structure in Alexandria, relaxed with PBE.
Intensities are scaled so that the largest is 100.

Largest 8 diffraction maxima, by angle, 2θ from 10° to 90°:
2θ/deg  intensity
24.16  27
33.81  100
35.13  29
42.29  89
42.58  30
45.97  27
47.63  24
64.44  17

Structural model:
a b c (Å): 3.818 5.477 5.477
angles (deg): 42.26 90.00 90.00
Fractional coordinates of all 4 atoms:
Sc (0.000, 0.000, 0.000)
Sc (0.500, 0.282, 0.282)
Zn (0.500, 0.553, 0.553)
As (0.000, 0.726, 0.726)